Entry 1:
For Li5Ca9B7O21F2, a cell relaxed with PBE gives the simulated powder diffraction line list in this record (λ = 1.5418 Å (Cu Kα)).

Peak list (10 most intense, 2θ from 10° to 80°, in order of falling intensity)
2θ = 50.9°, rel. 100.0, (2 0 0); 2θ = 28.4°, rel. 93.1, (-1 1 2); 2θ = 32.2°, rel. 84.6, (1 3 1); 2θ = 20.8°, rel. 77.7, (0 2 3); 2θ = 28.7°, rel. 73.0, (-1 2 1); 2θ = 15.7°, rel. 63.6, (0 2 0); 2θ = 36.5°, rel. 61.3, (0 4 -1); 2θ = 28.1°, rel. 59.6, (1 1 -1); 2θ = 36.4°, rel. 59.4, (0 1 5); 2θ = 29.3°, rel. 57.9, (1 2 2)

```
data_Li5Ca9B7O21F2
_symmetry_space_group_name_H-M 'P 1'
_symmetry_Int_Tables_number 1
_symmetry_space_group_name_Hall 'P 1'
_cell_length_a 3.590
_cell_length_b 12.987
_cell_length_c 13.037
_cell_angle_alpha 60.20
_cell_angle_beta 89.89
_cell_angle_gamma 88.43
loop_
_atom_site_label
_atom_site_fract_x
_atom_site_fract_y
_atom_site_fract_z
Li1 0.000 0.000 0.000
Li2 0.007 0.319 0.163
Li3 0.481 0.370 0.513
Li4 0.942 0.844 0.477
Li5 0.979 0.665 0.886
Ca1 0.000 0.158 0.589
Ca2 0.417 0.841 0.273
Ca3 0.468 0.681 0.697
Ca4 0.482 0.543 0.101
Ca5 0.499 0.921 0.848
Ca6 0.505 0.207 0.994
Ca7 0.525 0.111 0.370
Ca8 0.958 0.572 0.332
Ca9 0.987 0.419 0.720
B1 0.455 0.643 0.505
B2 0.492 0.345 0.337
B3 0.499 0.169 0.801
B4 0.967 0.765 0.096
B5 0.981 0.056 0.214
B6 0.988 0.460 0.927
B7 0.992 0.926 0.625
O1 0.006 0.856 0.982
O2 0.024 0.021 0.509
O3 0.031 0.150 0.235
O4 0.038 0.070 0.103
O5 0.438 0.759 0.487
O6 0.449 0.629 0.406
O7 0.473 0.457 0.324
O8 0.477 0.549 0.619
O9 0.496 0.150 0.705
O10 0.496 0.246 0.450
O11 0.500 0.283 0.787
O12 0.501 0.072 0.915
O13 0.507 0.331 0.239
O14 0.872 0.948 0.307
O15 0.926 0.787 0.190
O16 0.952 0.812 0.646
O17 0.969 0.646 0.123
O18 0.981 0.555 0.812
O19 0.991 0.485 0.020
O20 0.993 0.344 0.947
O21 0.999 0.951 0.717
F1 0.476 0.707 0.886
F2 0.980 0.384 0.545
```

---

Entry 2:
For RbCaB2F8, a cell relaxed with PBE gives the simulated powder diffraction line list in this record (λ = 1.5418 Å (Cu Kα)).

Peak list (10 most intense, 2θ from 10° to 80°, in order of falling intensity)
2θ = 23.3°, rel. 100.0, (1 0 4); 2θ = 32.3°, rel. 23.3, (1 1 0); 2θ = 39.0°, rel. 21.7, (2 -1 6); 2θ = 34.0°, rel. 18.3, (1 1 3); 2θ = 40.6°, rel. 15.6, (1 0 10); 2θ = 52.4°, rel. 12.7, (2 1 4); 2θ = 47.7°, rel. 9.6, (2 0 8); 2θ = 50.8°, rel. 9.3, (3 -2 2); 2θ = 34.2°, rel. 9.3, (0 1 8); 2θ = 54.7°, rel. 8.3, (0 1 14)

```
data_RbCaB2F8
_symmetry_space_group_name_H-M 'R -3'
_symmetry_Int_Tables_number 148
_symmetry_space_group_name_Hall '-R 3'
_cell_length_a 5.5500
_cell_length_b 5.5500
_cell_length_c 25.0602
_cell_angle_alpha 90.00
_cell_angle_beta 90.00
_cell_angle_gamma 120.00
loop_
_atom_site_label
_atom_site_fract_x
_atom_site_fract_y
_atom_site_fract_z
Rb1 0.0000 0.0000 0.0000
Ca1 0.0000 0.0000 0.5000
B1 0.0000 0.0000 0.2337
F1 0.0000 0.0000 0.2890
F2 0.0430 0.2602 0.2134
```

---

Entry 3:
For CaFeB4, a cell relaxed with PBE gives the simulated powder diffraction line list in this record (λ = 1.5418 Å (Cu Kα)).

Peak list (10 most intense, 2θ from 10° to 80°, in order of falling intensity)
2θ = 41.5°, rel. 100.0, (2 1 1); 2θ = 31.2°, rel. 66.7, (2 1 0); 2θ = 47.5°, rel. 55.0, (2 3 1); 2θ = 26.7°, rel. 50.0, (0 0 1); 2θ = 44.4°, rel. 41.0, (1 4 1); 2θ = 16.9°, rel. 35.9, (1 1 0); 2θ = 38.5°, rel. 33.1, (2 3 0); 2θ = 34.8°, rel. 26.3, (1 4 0); 2θ = 55.0°, rel. 22.6, (0 0 2); 2θ = 38.9°, rel. 20.1, (1 3 1)

```
data_CaFeB4
_symmetry_space_group_name_H-M 'P b a m'
_symmetry_Int_Tables_number 55
_symmetry_space_group_name_Hall '-P 2 2ab'
_cell_length_a 5.917
_cell_length_b 11.452
_cell_length_c 3.339
_cell_angle_alpha 90.00
_cell_angle_beta 90.00
_cell_angle_gamma 90.00
loop_
_atom_site_label
_atom_site_fract_x
_atom_site_fract_y
_atom_site_fract_z
Ca1 0.125 0.151 0.000
Fe1 0.126 0.418 0.000
B1 0.025 0.690 0.500
B2 0.112 0.546 0.500
B3 0.139 0.968 0.500
B4 0.222 0.818 0.500
```